Record 1
Ho3Th13: theoretical powder diffraction line list (Cu Ka), based on a GGA-PBE-relaxed structure.
Lines closer than 0.1° are merged.

Top 12 peaks for 2θ = 5–70°, low angle first:
10.38°, I = 1
29.01°, I = 23
30.28°, I = 27
32.81°, I = 100
42.43°, I = 17
51.41°, I = 19
55.42°, I = 23
60.12°, I = 3
60.84°, I = 23
62.35°, I = 16
62.98°, I = 4
68.79°, I = 4

Atomic structure:
```
Ho3Th13
1.0
7.1106 0.0000 0.0000
0.0000 5.9036 6.1550
0.0000 -5.9036 6.1550
Ho Th
3 13
Cartesian
0.0000 0.0000 0.0000
1.7699 0.0000 9.2136
5.3407 0.0000 9.2136
0.0000 -2.9455 8.1635
0.0000 0.0000 6.0993
0.0000 2.9455 8.1635
1.7780 -2.9684 5.0779
1.7780 2.9684 5.0779
1.7943 0.0000 3.0756
3.5553 0.0000 0.0404
3.5553 -2.9140 8.1600
3.5553 0.0000 6.0740
3.5553 2.9140 8.1600
5.3164 0.0000 3.0756
5.3326 -2.9684 5.0779
5.3326 2.9684 5.0779
```



Record 2
Ho6Th: theoretical powder diffraction line list (Cu Ka), based on a GGA-PBE-relaxed structure.
Lines closer than 0.1° are merged.

Top 12 peaks for 2θ = 5–70°, low angle first:
15.78°, I = 7
22.38°, I = 41
27.50°, I = 100
31.86°, I = 1
35.74°, I = 2
39.29°, I = 25
42.58°, I = 63
45.68°, I = 31
51.44°, I = 18
54.15°, I = 16
64.22°, I = 19
66.59°, I = 20

Atomic structure:
```
Ho6Th
1.0
-3.9719 3.9719 3.9719
3.9719 -3.9719 3.9719
3.9719 3.9719 -3.9719
Ho Th
6 1
Cartesian
3.9719 1.9859 0.0000
3.9719 0.0000 1.9859
1.9859 3.9719 0.0000
1.9859 0.0000 3.9719
0.0000 3.9719 1.9859
0.0000 1.9859 3.9719
0.0000 0.0000 0.0000
```



Record 3
Ho7Th2: theoretical powder diffraction line list (Cu Ka), based on a GGA-PBE-relaxed structure.
Lines closer than 0.1° are merged.

Top 9 peaks for 2θ = 5–70°, low angle first:
10.21°, I = 2
16.68°, I = 1
19.60°, I = 1
30.93°, I = 100
35.87°, I = 51
51.63°, I = 36
61.42°, I = 43
64.44°, I = 9
64.55°, I = 3

Atomic structure:
```
Ho7Th2
1.0
6.1357 0.0000 0.0000
-3.0678 5.3136 0.0000
0.0000 0.0000 8.6625
Ho Th
7 2
Cartesian
0.0000 0.0000 0.0000
-1.0302 1.7844 5.7968
-2.0376 3.5293 2.8656
2.0604 0.0000 5.7968
1.0302 1.7844 2.8656
4.0753 0.0000 2.8656
2.0376 3.5293 5.7968
0.0000 3.5424 0.0000
3.0678 1.7712 0.0000
```



Record 4
HoTh5: theoretical powder diffraction line list (Cu Ka), based on a GGA-PBE-relaxed structure.
Lines closer than 0.1° are merged.

Top 9 peaks for 2θ = 5–70°, low angle first:
16.94°, I = 1
29.74°, I = 65
32.83°, I = 100
42.56°, I = 25
51.35°, I = 7
54.77°, I = 48
60.47°, I = 18
61.76°, I = 9
68.83°, I = 12

Atomic structure:
```
HoTh5
1.0
3.0026 -5.3377 0.0000
3.0026 5.3377 0.0000
0.0000 0.0000 6.0110
Ho Th
1 5
Cartesian
0.0000 0.0000 0.0000
3.0026 3.5060 3.0055
3.0026 1.7452 0.0000
3.0026 0.0000 3.0055
3.0026 -1.7452 0.0000
3.0026 -3.5060 3.0055
```



Record 5
HoTh4: theoretical powder diffraction line list (Cu Ka), based on a GGA-PBE-relaxed structure.
Lines closer than 0.1° are merged.

Top 12 peaks for 2θ = 5–70°, low angle first:
30.64°, I = 100
30.84°, I = 98
35.49°, I = 68
35.95°, I = 33
50.81°, I = 13
51.39°, I = 61
60.63°, I = 30
60.97°, I = 29
61.35°, I = 14
61.46°, I = 14
63.80°, I = 13
64.25°, I = 13

Atomic structure:
```
HoTh4
1.0
-1.7969 2.4984 8.9011
1.7969 -2.4984 8.9011
1.7969 2.4984 -8.9011
Ho Th
1 4
Cartesian
0.0000 0.0000 0.0000
0.0000 0.0000 3.5502
0.0000 0.0000 7.1006
0.0000 0.0000 10.7016
0.0000 0.0000 14.2520
```



Record 6
Ho4Th3: theoretical powder diffraction line list (Cu Ka), based on a GGA-PBE-relaxed structure.
Lines closer than 0.1° are merged.

Top 12 peaks for 2θ = 5–70°, low angle first:
30.73°, I = 100
30.91°, I = 98
35.65°, I = 35
35.72°, I = 34
35.85°, I = 33
51.36°, I = 24
51.51°, I = 24
60.89°, I = 15
61.13°, I = 29
61.21°, I = 29
61.49°, I = 14
64.01°, I = 13

Atomic structure:
```
Ho4Th3
1.0
5.6450 -2.5136 0.0000
5.6450 2.5136 0.0000
-1.1349 0.0000 7.8226
Ho Th
4 3
Cartesian
0.5725 0.0000 1.7150
3.9360 0.0000 0.5850
6.2191 0.0000 7.2376
9.5827 0.0000 6.1076
1.6812 0.0000 4.9921
5.0776 0.0000 3.9113
8.4740 0.0000 2.8305
```



Record 7
HoTh8: theoretical powder diffraction line list (Cu Ka), based on a GGA-PBE-relaxed structure.
Lines closer than 0.1° are merged.

Top 10 peaks for 2θ = 5–70°, low angle first:
9.84°, I = 1
13.93°, I = 1
29.81°, I = 63
32.73°, I = 100
42.67°, I = 24
50.97°, I = 7
54.79°, I = 48
60.18°, I = 18
61.92°, I = 8
68.59°, I = 12

Atomic structure:
```
HoTh8
1.0
-6.3575 6.3575 1.7916
6.3575 -6.3575 1.7916
6.3575 6.3575 -1.7916
Ho Th
1 8
Cartesian
0.0000 0.0000 0.0000
4.2150 0.0000 0.0000
8.5000 0.0000 0.0000
0.0000 4.2150 0.0000
4.2189 4.2189 0.0000
2.1386 -2.1386 1.7916
-2.1386 2.1386 1.7916
2.1386 2.1386 1.7916
0.0000 8.5000 0.0000
```



Record 8
HoTh6: theoretical powder diffraction line list (Cu Ka), based on a GGA-PBE-relaxed structure.
Lines closer than 0.1° are merged.

Top 12 peaks for 2θ = 5–70°, low angle first:
28.13°, I = 78
31.22°, I = 100
32.94°, I = 23
34.44°, I = 58
36.73°, I = 36
38.39°, I = 26
43.13°, I = 18
52.14°, I = 18
55.32°, I = 34
59.97°, I = 19
64.98°, I = 29
66.44°, I = 16

Atomic structure:
```
HoTh6
1.0
6.6322 0.0000 0.0000
0.0000 6.6322 0.0000
0.0000 0.0000 10.8776
Ho Th
2 12
Cartesian
1.6580 4.9741 0.0000
4.9741 1.6580 0.0000
0.4757 3.7918 3.8839
0.4757 6.1565 6.9937
1.6580 1.6580 1.5867
1.6580 1.6580 9.2909
2.8404 3.7918 6.9937
2.8404 6.1565 3.8839
3.7918 0.4757 6.9937
3.7918 2.8404 3.8839
4.9741 4.9741 1.5867
4.9741 4.9741 9.2909
6.1565 0.4757 3.8839
6.1565 2.8404 6.9937
```